Record 1
The following is a calculated X-ray diffraction stick pattern of GaRe3Rh. It was derived from a DFT-relaxed cell (GGA-PBE, Alexandria), using CuKα.
Neutral-atom scattering factors, no anomalous dispersion.

Structural model:
Lattice parameters (Å, degrees): 4.4585 4.4585 4.4585 90.00 90.00 90.00
Atoms (fractional coordinates):
Ga 0.0000 0.0000 0.0000
Re 0.0000 0.0000 0.5000
Re 0.0000 0.5000 0.0000
Re 0.5000 0.0000 0.0000
Rh 0.5000 0.5000 0.5000

Largest 10 diffraction maxima, sorted by position, 2θ from 10° to 90°:
2θ 19.91, I 199
2θ 34.85, I 1000
2θ 40.46, I 782
2θ 45.49, I 98
2θ 58.56, I 531
2θ 62.49, I 48
2θ 69.99, I 404
2θ 73.59, I 180
2θ 77.13, I 21
2θ 87.52, I 89

Record 2
The following is a calculated X-ray diffraction stick pattern of Ho4GaSb. It was derived from a DFT-relaxed cell (GGA-PBE, Alexandria), using CuKα.
Neutral-atom scattering factors, no anomalous dispersion.

Structural model:
Lattice parameters (Å, degrees): 8.6334 8.6305 7.0739 65.83 65.79 48.38
Atoms (fractional coordinates):
Ho 0.0004 0.4995 0.2377
Ho 0.9996 0.5005 0.7623
Ho 0.2375 0.7623 0.5005
Ho 0.2377 0.7625 0.0004
Ho 0.4995 0.0004 0.7625
Ho 0.5005 0.9996 0.2375
Ho 0.7623 0.2375 0.9996
Ho 0.7625 0.2377 0.4995
Ga 0.1250 0.1250 0.1250
Ga 0.8750 0.8750 0.8750
Sb 0.3750 0.3750 0.3750
Sb 0.6250 0.6250 0.6250

Largest 10 diffraction maxima, sorted by position, 2θ from 10° to 90°:
2θ 21.80, I 195
2θ 25.18, I 363
2θ 25.32, I 182
2θ 35.91, I 499
2θ 36.01, I 1000
2θ 44.45, I 159
2θ 51.69, I 173
2θ 64.60, I 350
2θ 64.81, I 178
2θ 87.17, I 151